No. 1
# Pm2Hg2Pd7
Calculated XRD peak list, Cu Kα (λ = 1.5418 Å). Input: a DFT-relaxed cell (GGA-PBE, Alexandria).
Intensities are scaled so that the largest is 1000.

Peak list (10 most intense, 15° ≤ 2θ ≤ 90°, in order of falling intensity)
hkl  Position (°2θ)  d [Å]  I_rel
2 2 2  42.40  2.132  1000
2 0 1  25.22  3.531  816
0 4 0  36.01  2.494  558
0 2 1  24.11  3.691  515
4 0 0  39.05  2.306  391
2 4 1  44.47  2.037  334
4 4 0  54.16  1.693  287
2 6 2  69.13  1.359  209
1 3 2  43.89  2.063  164
1 1 2  35.29  2.543  145

Crystal structure
a b c (Å): 9.2255 9.9763 5.4873
angles (deg): 90.00 90.00 90.00
Space group Cmmm (No. 65)
Unique sites:
Pm  0.2125  0.0000  0.0000 x4
Hg  0.0000  0.2658  0.5000 x4
Pd  0.0000  0.0000  0.5000 x2
Pd  0.0000  0.5000  0.2430 x4
Pd  0.2500  0.2500  0.2474 x8

No. 2
# Al3SnGe3
Calculated XRD peak list, Cu Kα (λ = 1.5418 Å). Input: a DFT-relaxed cell (GGA-PBE, Alexandria).
Intensities are scaled so that the largest is 1000.

Peak list (10 most intense, 15° ≤ 2θ ≤ 90°, in order of falling intensity)
hkl  Position (°2θ)  d [Å]  I_rel
2 1 1  31.00  2.885  1000
3 2 1  48.18  1.889  589
2 0 0  25.20  3.533  424
2 1 0  28.24  3.160  234
4 0 0  51.74  1.767  216
6 1 1  84.52  1.146  182
5 2 1  73.38  1.290  172
4 2 0  58.40  1.580  166
3 3 2  61.55  1.507  142
4 4 0  76.21  1.249  137

Crystal structure
a b c (Å): 7.0668 7.0668 7.0668
angles (deg): 90.00 90.00 90.00
Space group Pm-3n (No. 223)
Unique sites:
Al  0.0000  0.2500  0.5000 x6
Sn  0.0000  0.0000  0.0000 x2
Ge  0.0000  0.5000  0.2500 x6

No. 3
# La3Cd3Ag
Calculated XRD peak list, Cu Kα (λ = 1.5418 Å). Input: a DFT-relaxed cell (GGA-PBE, Alexandria).
Intensities are scaled so that the largest is 1000.

Peak list (10 most intense, 15° ≤ 2θ ≤ 90°, in order of falling intensity)
hkl  Position (°2θ)  d [Å]  I_rel
1 1 2  31.62  2.829  1000
0 1 7  33.87  2.646  829
1 0 5  32.33  2.769  562
0 2 0  35.45  2.532  471
1 2 5  48.73  1.869  351
2 1 7  62.48  1.486  270
1 1 4  34.78  2.579  205
2 2 0  63.49  1.465  166
2 0 0  50.82  1.797  165
1 1 6  39.56  2.278  158

Crystal structure
a b c (Å): 3.5933 5.0638 21.7292
angles (deg): 90.00 90.00 90.00
Space group Imm2 (No. 44)
Unique sites:
La  0.0000  0.0000  0.0000 x2
La  0.0000  0.0000  0.3903 x2
La  0.0000  0.5000  0.2003 x2
Cd  0.0000  0.0000  0.5573 x2
Cd  0.0000  0.0000  0.8358 x2
Cd  0.0000  0.5000  0.6317 x2
Ag  0.0000  0.5000  0.7639 x2

No. 4
# Ba2PbO3
Calculated XRD peak list, Cu Kα (λ = 1.5418 Å). Input: a DFT-relaxed cell (GGA-PBE, Alexandria).
Intensities are scaled so that the largest is 1000.

Peak list (10 most intense, 15° ≤ 2θ ≤ 90°, in order of falling intensity)
hkl  Position (°2θ)  d [Å]  I_rel
1 1 0  30.73  2.910  1000
0 1 3  26.92  3.312  983
1 0 3  29.90  2.989  893
1 1 6  48.89  1.863  479
1 2 3  50.54  1.806  422
0 0 6  37.06  2.426  305
0 2 0  39.77  2.266  282
2 1 3  55.85  1.646  278
0 2 6  55.49  1.656  185
2 0 0  47.95  1.897  163

Crystal structure
a b c (Å): 3.7944 4.5330 14.5538
angles (deg): 90.00 90.00 90.00
Space group Immm (No. 71)
Unique sites:
Ba  0.0000  0.0000  0.1537 x4
Pb  0.0000  0.0000  0.5000 x2
O  0.0000  0.0000  0.3320 x4
O  0.0000  0.5000  0.5000 x2

No. 5
# Dy7Co2Hg2
Calculated XRD peak list, Cu Kα (λ = 1.5418 Å). Input: a DFT-relaxed cell (GGA-PBE, Alexandria).
Intensities are scaled so that the largest is 1000.

Peak list (10 most intense, 15° ≤ 2θ ≤ 90°, in order of falling intensity)
hkl  Position (°2θ)  d [Å]  I_rel
2 2 2  38.38  2.345  1000
0 4 0  32.95  2.718  673
1 1 2  29.11  3.068  533
2 2 0  28.32  3.151  433
0 2 2  30.30  2.950  404
1 3 2  37.51  2.398  396
2 0 1  26.31  3.387  308
0 0 4  52.08  1.756  202
0 4 4  63.02  1.475  202
0 2 1  20.66  4.299  198

Crystal structure
a b c (Å): 7.7335 10.8734 7.0241
angles (deg): 90.00 90.00 90.00
Space group Cmmm (No. 65)
Unique sites:
Dy  0.0000  0.0000  0.0000 x2
Dy  0.0000  0.5000  0.2346 x4
Dy  0.2500  0.2500  0.2438 x8
Co  0.0000  0.2927  0.0000 x4
Hg  0.1854  0.0000  0.5000 x4

No. 6
# GaAu2I8
Calculated XRD peak list, Cu Kα (λ = 1.5418 Å). Input: a DFT-relaxed cell (GGA-PBE, Alexandria).
Intensities are scaled so that the largest is 1000.

Peak list (10 most intense, 15° ≤ 2θ ≤ 90°, in order of falling intensity)
hkl  Position (°2θ)  d [Å]  I_rel
1 2 -1  25.51  3.492  1000
2 -1 1  30.89  2.895  842
0 2 -1  22.01  4.038  721
-1 2 2  32.29  2.772  534
-1 1 3  33.47  2.678  506
1 2 -2  28.06  3.180  426
2 1 0  29.70  3.008  327
3 1 0  42.68  2.118  313
2 1 -4  41.90  2.156  299
1 1 0  18.07  4.909  292

Crystal structure
a b c (Å): 7.2036 8.3509 9.2716
angles (deg): 101.05 106.92 94.09
Space group P-1 (No. 2)
Unique sites:
Ga  0.0000  0.0000  0.0000 x1
Au  0.4123  0.7445  0.9169 x2
I  0.0497  0.7783  0.7497 x2
I  0.2139  0.2683  0.9248 x2
I  0.3306  0.9088  0.1847 x2
I  0.4553  0.5512  0.6528 x2